Structure and simulated PXRD pattern of CaSe5 (DFT lattice parameters and positions (PBE); λ = 1.5418 Å (Cu Kα)).
Peak positions follow from Bragg's law for the DFT cell and can differ from measured ones.

Atomic structure:
abc: 10.9267 3.6916 8.5301
angles: 90.00 98.74 90.00
Atoms (fractional coordinates):
1 Ca 0.0000 0.0000 0.0000
2 Ca 0.5000 0.5000 0.0000
3 Se 0.1985 0.5000 0.2887
4 Se 0.2168 0.5000 0.0113
5 Se 0.2189 0.0000 0.6674
6 Se 0.4306 0.0000 0.7186
7 Se 0.4839 0.0000 0.2727
8 Se 0.6985 0.0000 0.2887
9 Se 0.7168 0.0000 0.0113
10 Se 0.7189 0.5000 0.6674
11 Se 0.9306 0.5000 0.7186
12 Se 0.9839 0.5000 0.2727

Principal peaks in the range 10° ≤ 2θ ≤ 90°, low angle first:
| d/Å | I/Imax | (hkl) |
| --- | --- | --- |
| 3.493 | 34 | 1 1 0 |
| 3.172 | 100 | 1 1 1 |
| 2.810 | 55 | 0 0 3 |
| 2.757 | 87 | 1 1 -2 |
| 2.700 | 68 | 4 0 0 |
| 1.846 | 53 | 0 2 0 |

Structure and simulated PXRD pattern of BaNa3PCO7 (DFT lattice parameters and positions (PBE); λ = 1.5418 Å (Cu Kα)).
Peak positions follow from Bragg's law for the DFT cell and can differ from measured ones.

Atomic structure:
abc: 5.5953 7.2290 9.3197
angles: 90.00 92.92 90.00
Atoms (fractional coordinates):
1 Ba 0.0390 0.0000 0.1724
2 Ba 0.9610 0.5000 0.8276
3 Na 0.0309 0.8168 0.5171
4 Na 0.4623 0.5556 0.3541
5 Na 0.4764 0.7251 0.0012
6 Na 0.5236 0.2251 0.9988
7 Na 0.5377 0.0556 0.6459
8 Na 0.9691 0.3168 0.4829
9 P 0.0429 0.0283 0.8071
10 P 0.9571 0.5283 0.1929
11 C 0.4439 0.4882 0.6617
12 C 0.5561 0.9882 0.3383
13 O 0.1009 0.3569 0.2511
14 O 0.1185 0.1513 0.6804
15 O 0.1241 0.6415 0.0947
16 O 0.2547 0.5467 0.5894
17 O 0.2716 0.9747 0.9009
18 O 0.3772 0.9202 0.4048
19 O 0.4564 0.4968 0.8027
20 O 0.5436 0.9968 0.1973
21 O 0.6228 0.4202 0.5952
22 O 0.7284 0.4747 0.0991
23 O 0.7453 0.0467 0.4106
24 O 0.8759 0.1415 0.9053
25 O 0.8815 0.6513 0.3196
26 O 0.8991 0.8569 0.7489

Principal peaks in the range 10° ≤ 2θ ≤ 90°, low angle first:
| d/Å | I/Imax | (hkl) |
| --- | --- | --- |
| 5.709 | 71 | 0 1 1 |
| 5.588 | 100 | 1 0 0 |
| 3.615 | 83 | 0 2 0 |
| 2.858 | 79 | 0 2 2 |
| 2.773 | 52 | 1 0 -3 |
| 2.322 | 48 | 2 1 -2 |